Starting from a PBE+U-relaxed structure, the powder XRD pattern of NbTlMoO6 was simulated for copper Kα.
No peak broadening, texture or thermal motion is included.

Principal peaks in the range 2θ = 10–80°, in order of falling intensity:
two_theta	d (Å)	I/Imax	h k l
24.0	3.708	100	1 0 1
44.8	2.021	31	2 -1 2
33.3	2.687	28	1 1 0
54.3	1.691	21	3 -1 1
41.5	2.176	20	0 2 1
70.7	1.333	13	2 1 3
48.6	1.873	12	1 0 3
35.0	2.562	10	0 1 2
60.2	1.536	10	0 2 3
29.1	3.069	10	0 0 2
75.2	1.263	9	1 3 1
59.6	1.551	8	3 0 0

Crystal structure
a b c (Å): 5.3733 5.3733 6.1371
angles (deg): 90.00 90.00 120.00
Fractional positions:
Nb  0.0000  0.0000  0.0000
Tl  0.6667  0.3333  0.4423
Mo  0.3333  0.6667  0.9118
O  0.0685  0.7310  0.7693
O  0.0695  0.3477  0.1360
O  0.2690  0.3376  0.7693
O  0.2782  0.9305  0.1360
O  0.6523  0.7218  0.1360
O  0.6624  0.9315  0.7693